# BaMg6CuO8
Computed powder XRD pattern, Cu Kα, 1.54184 Å. Input: a crystal structure in the Materials Project, relaxed with PBE.

Structural model:
```
data_BaMg6CuO8
_symmetry_space_group_name_H-M 'P 4/m m m'
_symmetry_Int_Tables_number 123
_symmetry_space_group_name_Hall '-P 4 2'
_cell_length_a 4.711
_cell_length_b 4.711
_cell_length_c 8.609
_cell_angle_alpha 90.00
_cell_angle_beta 90.00
_cell_angle_gamma 90.00
loop_
_atom_site_label
_atom_site_type_symbol
_atom_site_fract_x
_atom_site_fract_y
_atom_site_fract_z
_atom_site_occupancy
Ba1 Ba 0.000 0.000 0.000 1
Mg1 Mg 0.000 0.500 0.267 1
Mg2 Mg 0.500 0.500 0.000 1
Mg3 Mg 0.500 0.500 0.500 1
Cu1 Cu 0.000 0.000 0.500 1
O1 O 0.000 0.000 0.285 1
O2 O 0.000 0.500 0.000 1
O3 O 0.000 0.500 0.500 1
O4 O 0.500 0.500 0.251 1
```

Top 12 peaks for 10 to 80 degrees two-theta, in order of falling intensity:
hkl	d [Å]	two_theta	I_rel
2 0 0	2.356	38.21	100
1 1 2	2.635	34.03	58
1 0 0	4.711	18.84	56
2 0 4	1.589	58.05	48
1 0 2	3.178	28.08	45
0 0 4	2.152	41.98	34
2 2 4	1.317	71.63	32
2 2 0	1.666	55.14	31
0 0 2	4.304	20.64	24
1 1 0	3.331	26.76	24
3 1 2	1.408	66.40	20
2 1 2	1.892	48.08	20

***

# BaMg6CuO8
Computed powder XRD pattern, Cu Kα, 1.54184 Å. Input: a crystal structure in the Materials Project, relaxed with PBE.

Structural model:
```
data_BaMg6CuO8
_symmetry_space_group_name_H-M 'P 4/m m m'
_symmetry_Int_Tables_number 123
_symmetry_space_group_name_Hall '-P 4 2'
_cell_length_a 4.515
_cell_length_b 4.515
_cell_length_c 9.301
_cell_angle_alpha 90.00
_cell_angle_beta 90.00
_cell_angle_gamma 90.00
loop_
_atom_site_label
_atom_site_type_symbol
_atom_site_fract_x
_atom_site_fract_y
_atom_site_fract_z
_atom_site_occupancy
Ba1 Ba 0.000 0.000 0.000 1
Mg1 Mg 0.000 0.000 0.500 1
Mg2 Mg 0.000 0.500 0.278 1
Mg3 Mg 0.500 0.500 0.500 1
Cu1 Cu 0.500 0.500 0.000 1
O1 O 0.000 0.000 0.283 1
O2 O 0.000 0.500 0.000 1
O3 O 0.000 0.500 0.500 1
O4 O 0.500 0.500 0.275 1
```

Top 12 peaks for 10 to 80 degrees two-theta, in order of falling intensity:
hkl	d [Å]	two_theta	I_rel
2 0 0	2.258	39.93	100
1 1 2	2.632	34.06	64
2 0 4	1.620	56.84	54
1 1 1	3.020	29.58	47
0 0 4	2.325	38.72	46
0 0 2	4.651	19.08	36
2 2 0	1.596	57.75	30
0 0 3	3.100	28.80	30
1 1 0	3.193	27.95	25
2 2 4	1.316	71.72	25
2 0 3	1.825	49.98	24
3 1 2	1.365	68.78	20

***

# BaMgCu3O4
Computed powder XRD pattern, Cu Kα, 1.54184 Å. Input: a crystal structure in the Materials Project, relaxed with PBE.

Structural model:
```
data_BaMgCu3O4
_symmetry_space_group_name_H-M 'P 1 2/m 1'
_symmetry_Int_Tables_number 10
_cell_length_a 6.735
_cell_length_b 3.222
_cell_length_c 7.102
_cell_angle_alpha 90.00
_cell_angle_beta 116.33
_cell_angle_gamma 90.00
loop_
_symmetry_equiv_pos_as_xyz
'x,y,z'
'-x,-y,-z'
'-x,y,-z'
'x,-y,z'
loop_
_atom_site_label
_atom_site_type_symbol
_atom_site_fract_x
_atom_site_fract_y
_atom_site_fract_z
_atom_site_occupancy
Ba1 Ba 0.000 0.000 0.000 1
Mg1 Mg 0.000 0.000 0.500 1
Cu1 Cu 0.379 0.500 0.787 1
Cu2 Cu 0.500 0.500 0.500 1
O1 O 0.080 0.500 0.714 1
O2 O 0.354 0.500 0.216 1
```

Top 12 peaks for 10 to 80 degrees two-theta, in order of falling intensity:
hkl	d [Å]	two_theta	I_rel
1 1 0	2.842	31.48	100
1 0 1	3.646	24.41	47
2 0 -2	2.934	30.47	40
0 1 2	2.264	39.81	38
2 0 0	3.018	29.60	34
3 1 -2	1.815	50.27	34
1 0 -3	2.355	38.22	33
2 1 1	1.900	47.87	24
1 1 -1	2.824	31.68	23
0 1 3	1.772	51.59	21
0 1 1	2.875	31.11	21
1 0 -2	3.535	25.19	19

***

# Ba2MgCuP2O8
Computed powder XRD pattern, Cu Kα, 1.54184 Å. Input: a crystal structure in the Materials Project, relaxed with PBE.

Structural model:
```
data_Ba2MgCuP2O8
_symmetry_space_group_name_H-M 'P -1'
_symmetry_Int_Tables_number 2
_cell_length_a 5.897
_cell_length_b 6.762
_cell_length_c 7.431
_cell_angle_alpha 111.07
_cell_angle_beta 90.95
_cell_angle_gamma 95.04
loop_
_symmetry_equiv_pos_as_xyz
'x,y,z'
'-x,-y,-z'
loop_
_atom_site_label
_atom_site_type_symbol
_atom_site_fract_x
_atom_site_fract_y
_atom_site_fract_z
_atom_site_occupancy
Ba1 Ba 0.233 0.213 0.395 1
Mg1 Mg 0.000 0.500 0.000 1
Cu1 Cu 0.500 0.500 0.000 1
P1 P 0.235 0.692 0.328 1
O1 O 0.030 0.512 0.286 1
O2 O 0.199 0.783 0.164 1
O3 O 0.229 0.868 0.529 1
O4 O 0.460 0.580 0.307 1
```

Top 12 peaks for 10 to 80 degrees two-theta, in order of falling intensity:
hkl	d [Å]	two_theta	I_rel
1 0 1	4.366	20.34	100
0 0 1	6.924	12.78	95
0 2 -1	3.352	26.59	87
1 -2 2	2.656	33.75	72
2 0 -1	2.753	32.53	45
1 0 -1	4.595	19.32	43
1 0 -2	3.052	29.27	41
1 1 -1	4.032	22.05	38
2 -2 0	2.259	39.90	34
1 -3 1	2.158	41.85	33
1 -1 0	4.519	19.64	32
0 1 -2	3.641	24.45	30

***

# Ba2MgCuP2O8
Computed powder XRD pattern, Cu Kα, 1.54184 Å. Input: a crystal structure in the Materials Project, relaxed with PBE.

Structural model:
```
data_Ba2MgCuP2O8
_symmetry_space_group_name_H-M 'C 1 m 1'
_symmetry_Int_Tables_number 8
_cell_length_a 12.746
_cell_length_b 5.716
_cell_length_c 7.158
_cell_angle_alpha 90.00
_cell_angle_beta 94.40
_cell_angle_gamma 90.00
loop_
_symmetry_equiv_pos_as_xyz
'x,y,z'
'x,-y,z'
'x+1/2,y+1/2,z'
'x+1/2,-y+1/2,z'
loop_
_atom_site_label
_atom_site_type_symbol
_atom_site_fract_x
_atom_site_fract_y
_atom_site_fract_z
_atom_site_occupancy
Ba1 Ba 0.000 0.000 0.000 1
Ba2 Ba 0.211 0.500 0.596 1
Mg1 Mg 0.489 0.000 0.270 1
Cu1 Cu 0.297 0.000 0.178 1
P1 P 0.021 0.000 0.538 1
P2 P 0.208 0.500 0.118 1
O1 O 0.025 0.221 0.411 1
O2 O 0.086 0.500 0.049 1
O3 O 0.117 0.000 0.686 1
O4 O 0.228 0.284 0.247 1
O5 O 0.278 0.500 0.953 1
O6 O 0.419 0.500 0.643 1
```

Top 12 peaks for 10 to 80 degrees two-theta, in order of falling intensity:
hkl	d [Å]	two_theta	I_rel
1 1 -1	4.274	20.78	100
3 1 0	3.403	26.18	97
1 1 0	5.213	17.01	69
0 2 0	2.858	31.30	59
1 1 2	2.902	30.81	57
4 0 0	3.177	28.09	49
2 0 -2	3.219	27.72	44
0 0 2	3.568	24.95	38
0 2 2	2.231	40.44	32
3 1 -2	2.542	35.30	31
5 1 2	1.887	48.24	31
2 0 1	4.575	19.40	27

***

# Ba2Pr4MgCu2O10
Computed powder XRD pattern, Cu Kα, 1.54184 Å. Input: a crystal structure in the Materials Project, relaxed with PBE.

Structural model:
```
data_Ba2Pr4MgCu2O10
_symmetry_space_group_name_H-M 'P 1 m 1'
_symmetry_Int_Tables_number 6
_cell_length_a 6.952
_cell_length_b 5.931
_cell_length_c 7.662
_cell_angle_alpha 90.00
_cell_angle_beta 98.41
_cell_angle_gamma 90.00
loop_
_symmetry_equiv_pos_as_xyz
'x,y,z'
'x,-y,z'
loop_
_atom_site_label
_atom_site_type_symbol
_atom_site_fract_x
_atom_site_fract_y
_atom_site_fract_z
_atom_site_occupancy
Ba1 Ba 0.000 0.000 0.000 1
Ba2 Ba 0.439 0.000 0.590 1
Pr1 Pr 0.098 0.500 0.755 1
Pr2 Pr 0.306 0.500 0.262 1
Pr3 Pr 0.589 0.500 0.930 1
Pr4 Pr 0.867 0.500 0.320 1
Mg1 Mg 0.646 0.500 0.571 1
Cu1 Cu 0.481 0.000 0.150 1
Cu2 Cu 0.949 0.000 0.557 1
O1 O 0.100 0.254 0.447 1
O2 O 0.326 0.258 0.987 1
O3 O 0.411 0.500 0.663 1
O4 O 0.579 0.271 0.344 1
O5 O 0.803 0.263 0.726 1
O6 O 0.954 0.500 0.056 1
```

Top 12 peaks for 10 to 80 degrees two-theta, in order of falling intensity:
hkl	d [Å]	two_theta	I_rel
0 2 0	2.969	30.10	100
0 1 2	3.194	27.94	81
1 1 -2	3.043	29.35	34
2 1 -1	2.897	30.87	32
2 2 -1	2.211	40.81	32
2 1 1	2.657	33.73	31
1 0 -3	2.496	35.98	28
2 2 1	2.100	43.07	28
0 1 0	5.931	14.94	25
1 1 2	2.769	32.33	23
1 1 -1	4.037	22.02	19
2 0 -1	3.319	26.86	18

***

# Ba2PrMgCu3O7
Computed powder XRD pattern, Cu Kα, 1.54184 Å. Input: a crystal structure in the Materials Project, relaxed with PBE.

Structural model:
```
data_Ba2PrMgCu3O7
_symmetry_space_group_name_H-M 'P m m 2'
_symmetry_Int_Tables_number 25
_cell_length_a 3.770
_cell_length_b 4.027
_cell_length_c 14.653
_cell_angle_alpha 90.00
_cell_angle_beta 90.00
_cell_angle_gamma 90.00
loop_
_symmetry_equiv_pos_as_xyz
'x,y,z'
'-x,-y,z'
'-x,y,z'
'x,-y,z'
loop_
_atom_site_label
_atom_site_type_symbol
_atom_site_fract_x
_atom_site_fract_y
_atom_site_fract_z
_atom_site_occupancy
Ba1 Ba 0.000 0.000 0.000 1
Ba2 Ba 0.000 0.000 0.310 1
Pr1 Pr 0.000 0.000 0.742 1
Mg1 Mg 0.000 0.500 0.496 1
Cu1 Cu 0.500 0.500 0.160 1
Cu2 Cu 0.500 0.500 0.634 1
Cu3 Cu 0.500 0.500 0.865 1
O1 O 0.000 0.500 0.207 1
O2 O 0.000 0.500 0.628 1
O3 O 0.000 0.500 0.838 1
O4 O 0.500 0.000 0.640 1
O5 O 0.500 0.000 0.856 1
O6 O 0.500 0.500 0.028 1
O7 O 0.500 0.500 0.430 1
```

Top 12 peaks for 10 to 80 degrees two-theta, in order of falling intensity:
hkl	d [Å]	two_theta	I_rel
1 1 0	2.752	32.53	100
1 0 4	2.627	34.13	79
0 1 4	2.709	33.07	79
0 1 3	3.107	28.73	76
1 0 3	2.984	29.94	42
0 2 0	2.014	45.02	39
1 1 7	1.666	55.12	38
1 2 4	1.598	57.68	34
1 1 3	2.398	37.51	33
2 0 0	1.885	48.28	31
0 0 2	7.326	12.08	30
2 1 4	1.548	59.76	23

***

# Ba2PrMgCu3O7
Computed powder XRD pattern, Cu Kα, 1.54184 Å. Input: a crystal structure in the Materials Project, relaxed with PBE.

Structural model:
```
data_Ba2PrMgCu3O7
_symmetry_space_group_name_H-M 'P m m 2'
_symmetry_Int_Tables_number 25
_cell_length_a 3.754
_cell_length_b 4.015
_cell_length_c 14.125
_cell_angle_alpha 90.00
_cell_angle_beta 90.00
_cell_angle_gamma 90.00
loop_
_symmetry_equiv_pos_as_xyz
'x,y,z'
'-x,-y,z'
'-x,y,z'
'x,-y,z'
loop_
_atom_site_label
_atom_site_type_symbol
_atom_site_fract_x
_atom_site_fract_y
_atom_site_fract_z
_atom_site_occupancy
Ba1 Ba 0.000 0.000 0.000 1
Ba2 Ba 0.000 0.000 0.466 1
Pr1 Pr 0.000 0.000 0.739 1
Mg1 Mg 0.000 0.500 0.187 1
Cu1 Cu 0.500 0.500 0.320 1
Cu2 Cu 0.500 0.500 0.613 1
Cu3 Cu 0.500 0.500 0.862 1
O1 O 0.000 0.500 0.645 1
O2 O 0.000 0.500 0.870 1
O3 O 0.500 0.000 0.287 1
O4 O 0.500 0.000 0.629 1
O5 O 0.500 0.000 0.861 1
O6 O 0.500 0.500 0.107 1
O7 O 0.500 0.500 0.457 1
```

Top 12 peaks for 10 to 80 degrees two-theta, in order of falling intensity:
hkl	d [Å]	two_theta	I_rel
1 1 0	2.742	32.66	100
1 0 4	2.572	34.88	97
0 1 4	2.652	33.80	96
1 2 4	1.583	58.30	42
0 1 3	3.055	29.23	42
1 0 3	2.935	30.45	39
0 2 0	2.008	45.16	39
2 1 4	1.532	60.43	35
2 0 0	1.877	48.50	31
1 1 7	1.625	56.63	27
1 1 4	2.166	41.70	23
1 1 3	2.370	37.97	21

***

# Ba2PrMgCu4O8
Computed powder XRD pattern, Cu Kα, 1.54184 Å. Input: a crystal structure in the Materials Project, relaxed with PBE.

Structural model:
```
data_Ba2PrMgCu4O8
_symmetry_space_group_name_H-M 'P 1 2/m 1'
_symmetry_Int_Tables_number 10
_cell_length_a 4.047
_cell_length_b 3.774
_cell_length_c 15.023
_cell_angle_alpha 90.00
_cell_angle_beta 96.87
_cell_angle_gamma 90.00
loop_
_symmetry_equiv_pos_as_xyz
'x,y,z'
'-x,-y,-z'
'-x,y,-z'
'x,-y,z'
loop_
_atom_site_label
_atom_site_type_symbol
_atom_site_fract_x
_atom_site_fract_y
_atom_site_fract_z
_atom_site_occupancy
Ba1 Ba 0.115 0.000 0.251 1
Pr1 Pr 0.000 0.000 0.000 1
Mg1 Mg 0.000 0.000 0.500 1
Cu1 Cu 0.339 0.500 0.588 1
Cu2 Cu 0.447 0.500 0.884 1
O1 O 0.050 0.500 0.108 1
O2 O 0.208 0.500 0.449 1
O3 O 0.372 0.500 0.712 1
O4 O 0.453 0.000 0.897 1
```

Top 12 peaks for 10 to 80 degrees two-theta, in order of falling intensity:
hkl	d [Å]	two_theta	I_rel
1 1 0	2.749	32.57	100
0 1 4	2.653	33.79	88
1 0 -4	2.912	30.70	45
1 0 3	2.957	30.23	30
2 0 -1	2.023	44.80	28
0 2 0	1.887	48.22	28
1 0 4	2.583	34.73	25
2 2 -1	1.380	67.90	19
2 1 3	1.617	56.94	18
1 1 7	1.621	56.80	18
0 0 7	2.131	42.41	17
1 1 -8	1.606	57.39	16

***

# Ba2PrMgCu4O8
Computed powder XRD pattern, Cu Kα, 1.54184 Å. Input: a crystal structure in the Materials Project, relaxed with PBE.

Structural model:
```
data_Ba2PrMgCu4O8
_symmetry_space_group_name_H-M 'P 1 m 1'
_symmetry_Int_Tables_number 6
_cell_length_a 4.060
_cell_length_b 3.881
_cell_length_c 15.131
_cell_angle_alpha 90.00
_cell_angle_beta 90.58
_cell_angle_gamma 90.00
loop_
_symmetry_equiv_pos_as_xyz
'x,y,z'
'x,-y,z'
loop_
_atom_site_label
_atom_site_type_symbol
_atom_site_fract_x
_atom_site_fract_y
_atom_site_fract_z
_atom_site_occupancy
Ba1 Ba 0.000 0.000 0.000 1
Ba2 Ba 0.475 0.000 0.622 1
Pr1 Pr 0.466 0.000 0.374 1
Mg1 Mg 0.557 0.500 0.144 1
Cu1 Cu 0.486 0.500 0.886 1
Cu2 Cu 0.955 0.500 0.268 1
Cu3 Cu 0.968 0.500 0.482 1
Cu4 Cu 0.981 0.500 0.753 1
O1 O 0.430 0.500 0.273 1
O2 O 0.468 0.500 0.474 1
O3 O 0.481 0.500 0.762 1
O4 O 0.485 0.500 0.015 1
O5 O 0.768 0.000 0.162 1
O6 O 0.968 0.000 0.453 1
O7 O 0.976 0.500 0.630 1
O8 O 0.984 0.500 0.877 1
```

Top 12 peaks for 10 to 80 degrees two-theta, in order of falling intensity:
hkl	d [Å]	two_theta	I_rel
1 0 4	2.757	32.47	100
0 1 3	3.076	29.03	37
1 0 -4	2.782	32.18	34
0 1 5	2.386	37.69	30
2 0 0	2.030	44.64	22
0 2 0	1.941	46.81	21
0 0 8	1.891	48.12	17
0 1 2	3.453	25.80	16
0 0 3	5.043	17.59	14
0 0 2	7.565	11.70	13
1 2 -4	1.591	57.95	13
0 1 4	2.709	33.07	13

***

# Ba2Pr4MgCu2O10
Computed powder XRD pattern, Cu Kα, 1.54184 Å. Input: a crystal structure in the Materials Project, relaxed with PBE.

Structural model:
```
data_Ba2Pr4MgCu2O10
_symmetry_space_group_name_H-M 'C m m m'
_symmetry_Int_Tables_number 65
_symmetry_space_group_name_Hall '-C 2 2'
_cell_length_a 9.610
_cell_length_b 11.385
_cell_length_c 5.994
_cell_angle_alpha 90.00
_cell_angle_beta 90.00
_cell_angle_gamma 90.00
loop_
_atom_site_label
_atom_site_type_symbol
_atom_site_fract_x
_atom_site_fract_y
_atom_site_fract_z
_atom_site_occupancy
Ba1 Ba 0.250 0.250 0.000 1
Pr1 Pr 0.000 0.234 0.500 1
Pr2 Pr 0.175 0.500 0.500 1
Mg1 Mg 0.000 0.000 0.500 1
Cu1 Cu 0.000 0.000 0.000 1
Cu2 Cu 0.000 0.500 0.000 1
O1 O 0.000 0.372 0.247 1
O2 O 0.144 0.000 0.261 1
O3 O 0.250 0.250 0.500 1
```

Top 12 peaks for 10 to 80 degrees two-theta, in order of falling intensity:
hkl	d [Å]	two_theta	I_rel
2 2 1	3.131	28.51	100
0 4 0	2.846	31.43	32
0 0 2	2.997	29.81	29
0 4 2	2.064	43.87	25
2 2 3	1.755	52.12	19
2 6 1	1.693	54.18	15
3 1 1	2.742	32.66	12
4 4 2	1.565	59.00	11
3 1 2	2.149	42.04	11
0 0 1	5.994	14.78	10
4 2 0	2.214	40.76	10
4 0 0	2.402	37.43	9

***

# Ba2Pr4MgCu2O10
Computed powder XRD pattern, Cu Kα, 1.54184 Å. Input: a crystal structure in the Materials Project, relaxed with PBE.

Structural model:
```
data_Ba2Pr4MgCu2O10
_symmetry_space_group_name_H-M 'A m m 2'
_symmetry_Int_Tables_number 38
_cell_length_a 6.143
_cell_length_b 10.058
_cell_length_c 9.549
_cell_angle_alpha 90.00
_cell_angle_beta 90.00
_cell_angle_gamma 90.00
loop_
_symmetry_equiv_pos_as_xyz
'x,y,z'
'-x,-y,z'
'-x,y,z'
'x,-y,z'
'x,y+1/2,z+1/2'
'-x,-y+1/2,z+1/2'
'-x,y+1/2,z+1/2'
'x,-y+1/2,z+1/2'
loop_
_atom_site_label
_atom_site_type_symbol
_atom_site_fract_x
_atom_site_fract_y
_atom_site_fract_z
_atom_site_occupancy
Ba1 Ba 0.000 0.203 0.000 1
Pr1 Pr 0.500 0.000 0.589 1
Pr2 Pr 0.500 0.000 0.924 1
Pr3 Pr 0.500 0.179 0.252 1
Mg1 Mg 0.000 0.000 0.522 1
Cu1 Cu 0.000 0.000 0.245 1
Cu2 Cu 0.000 0.000 0.767 1
O1 O 0.248 0.000 0.404 1
O2 O 0.250 0.000 0.106 1
O3 O 0.250 0.141 0.745 1
O4 O 0.500 0.244 0.999 1
```

Top 12 peaks for 10 to 80 degrees two-theta, in order of falling intensity:
hkl	d [Å]	two_theta	I_rel
1 2 2	3.016	29.62	100
2 0 0	3.071	29.07	54
1 3 1	2.812	31.82	49
2 1 3	2.159	41.85	47
2 3 1	2.204	40.96	34
1 1 3	2.721	32.92	30
3 2 2	1.763	51.86	28
0 3 1	3.163	28.21	21
1 0 2	3.770	23.60	15
2 0 4	1.884	48.30	14
0 1 3	3.035	29.43	13
0 0 4	2.387	37.68	13